Diffraction record for Pm4CdIr2. The PXRD pattern is theoretical, not measured: it uses a crystal structure in Alexandria, relaxed with GGA-PBE and λ = 1.5418 Å (Cu Kα).

Largest 10 diffraction maxima, by angle, 15° ≤ 2θ ≤ 90°:
2theta, d [Å], intensity
31.04, 2.881, 100
31.66, 2.826, 42
36.94, 2.433, 36
37.13, 2.422, 23
37.44, 2.402, 20
47.18, 1.926, 16
51.11, 1.787, 12
51.83, 1.764, 17
62.85, 1.479, 10
62.98, 1.476, 11

a = 9.1202 Å, b = 9.1202 Å, c = 8.9177 Å
α = 90.00°, β = 90.00°, γ = 90.00°
Space group I-42d (No. 122)
Asymmetric unit:
Pm 0.0696 0.1766 0.3277
Cd 0.0000 0.0000 0.0000
Ir 0.1323 0.2500 0.6250